Entry 1:
For BSbMo2, a structure optimized by DFT (PBE) gives the simulated PXRD pattern in this record (Cu Kα (weighted mean of Kα1 and Kα2)).
No peak broadening, texture or thermal motion is included.

Main lines, sorted by position (15° ≤ 2θ ≤ 90°):
24.8 deg, I 30
41.1 deg, I 100
48.6 deg, I 15
59.5 deg, I 16
74.8 deg, I 33
89.1 deg, I 11

Structural model:
Cell: 4.3972 4.3972 4.3972 Å, 60.00 60.00 60.00°
Fractional coordinates of all 4 atoms:
B 0.0000 0.0000 0.0000
Sb 0.5000 0.5000 0.5000
Mo 0.2500 0.2500 0.2500
Mo 0.7500 0.7500 0.7500

Entry 2:
For Er5Cd, a structure optimized by DFT (PBE) gives the simulated PXRD pattern in this record (Cu Kα (weighted mean of Kα1 and Kα2)).
No peak broadening, texture or thermal motion is included.

Main lines, sorted by position (15° ≤ 2θ ≤ 90°):
31.4 deg, I 45
32.2 deg, I 100
32.5 deg, I 52
34.1 deg, I 89
56.6 deg, I 19
60.3 deg, I 23

Structural model:
Cell: 6.3414 6.3414 8.4496 Å, 111.38 111.38 33.87°
Fractional coordinates of all 6 atoms:
Er 0.0000 0.0000 0.0000
Er 0.0235 0.0235 0.4537
Er 0.3538 0.3538 0.6461
Er 0.6821 0.6821 0.8359
Er 0.7067 0.7067 0.2925
Cd 0.3523 0.3523 0.1445

Entry 3:
For ErMg2Cd9, a structure optimized by DFT (PBE) gives the simulated PXRD pattern in this record (Cu Kα (weighted mean of Kα1 and Kα2)).
No peak broadening, texture or thermal motion is included.

Main lines, sorted by position (15° ≤ 2θ ≤ 90°):
33.3 deg, I 100
33.8 deg, I 57
35.7 deg, I 18
39.7 deg, I 49
50.7 deg, I 16
60.1 deg, I 29

Structural model:
Cell: 9.2396 9.2396 9.2396 Å, 100.05 100.05 130.62°
Fractional coordinates of all 24 atoms:
Er 0.3750 0.6250 0.7500
Er 0.6250 0.3750 0.2500
Mg 0.0000 0.0000 0.0000
Mg 0.0000 0.0000 0.5000
Mg 0.0000 0.5000 0.0000
Mg 0.5000 0.0000 0.5000
Cd 0.1217 0.5505 0.3305
Cd 0.1217 0.7912 0.5712
Cd 0.1250 0.8750 0.2500
Cd 0.2088 0.2800 0.3305
Cd 0.2088 0.8783 0.9288
Cd 0.2800 0.2088 0.8305
Cd 0.2800 0.4495 0.0712
Cd 0.4495 0.2800 0.5712
Cd 0.4495 0.8783 0.1695
Cd 0.5505 0.1217 0.8305
Cd 0.5505 0.7200 0.4288
Cd 0.7200 0.5505 0.9288
Cd 0.7200 0.7912 0.1695
Cd 0.7912 0.1217 0.0712
Cd 0.7912 0.7200 0.6695
Cd 0.8750 0.1250 0.7500
Cd 0.8783 0.2088 0.4288
Cd 0.8783 0.4495 0.6695

Entry 4:
For EuC6, a structure optimized by DFT (PBE) gives the simulated PXRD pattern in this record (Cu Kα (weighted mean of Kα1 and Kα2)).
No peak broadening, texture or thermal motion is included.

Main lines, sorted by position (15° ≤ 2θ ≤ 90°):
23.7 deg, I 20
25.5 deg, I 100
30.2 deg, I 22
36.9 deg, I 38
45.9 deg, I 38
49.5 deg, I 17

Structural model:
Cell: 4.3354 4.3354 9.6106 Å, 90.00 90.00 120.00°
Fractional coordinates of all 14 atoms:
Eu 0.3333 0.6667 0.2500
Eu 0.6667 0.3333 0.7500
C 0.0000 0.3334 0.0000
C 0.0000 0.3334 0.5000
C 0.0000 0.6666 0.0000
C 0.0000 0.6666 0.5000
C 0.3334 0.0000 0.0000
C 0.3334 0.0000 0.5000
C 0.3334 0.3334 0.0000
C 0.3334 0.3334 0.5000
C 0.6666 0.0000 0.0000
C 0.6666 0.0000 0.5000
C 0.6666 0.6666 0.0000
C 0.6666 0.6666 0.5000

Entry 5:
For Pu4US5, a structure optimized by DFT (PBE) gives the simulated PXRD pattern in this record (Cu Kα (weighted mean of Kα1 and Kα2)).
No peak broadening, texture or thermal motion is included.

Main lines, sorted by position (15° ≤ 2θ ≤ 90°):
27.8 deg, I 100
32.0 deg, I 32
32.3 deg, I 62
46.1 deg, I 46
54.8 deg, I 33
57.4 deg, I 24

Structural model:
Cell: 14.2400 14.2400 14.2400 Å, 164.16 164.16 22.48°
Fractional coordinates of all 10 atoms:
Pu 0.0991 0.0991 0.0000
Pu 0.3008 0.3008 0.0000
Pu 0.6992 0.6992 0.0000
Pu 0.9009 0.9009 0.0000
U 0.5000 0.5000 0.0000
S 0.0000 0.0000 0.0000
S 0.2010 0.2010 0.0000
S 0.4008 0.4008 0.0000
S 0.5992 0.5992 0.0000
S 0.7990 0.7990 0.0000

Entry 6:
For Cs3PuP2O8, a structure optimized by DFT (PBE) gives the simulated PXRD pattern in this record (Cu Kα (weighted mean of Kα1 and Kα2)).
No peak broadening, texture or thermal motion is included.

Main lines, sorted by position (15° ≤ 2θ ≤ 90°):
20.0 deg, I 20
26.8 deg, I 100
30.1 deg, I 66
40.7 deg, I 34
51.5 deg, I 31
52.1 deg, I 23

Structural model:
Cell: 5.9418 5.9418 8.6986 Å, 90.00 90.00 120.00°
Fractional coordinates of all 14 atoms:
Cs 0.0000 0.0000 0.0000
Cs 0.3333 0.6667 0.7673
Cs 0.6667 0.3333 0.2327
Pu 0.0000 0.0000 0.5000
P 0.3333 0.6667 0.2862
P 0.6667 0.3333 0.7138
O 0.1897 0.3794 0.3470
O 0.1897 0.8103 0.3470
O 0.3333 0.6667 0.1095
O 0.3794 0.1897 0.6530
O 0.6206 0.8103 0.3470
O 0.6667 0.3333 0.8905
O 0.8103 0.1897 0.6530
O 0.8103 0.6206 0.6530

Entry 7:
For Ca3AcPr3, a structure optimized by DFT (PBE) gives the simulated PXRD pattern in this record (Cu Kα (weighted mean of Kα1 and Kα2)).
No peak broadening, texture or thermal motion is included.

Main lines, sorted by position (15° ≤ 2θ ≤ 90°):
28.1 deg, I 54
28.4 deg, I 44
29.8 deg, I 100
32.5 deg, I 72
35.9 deg, I 36
48.6 deg, I 30

Structural model:
Cell: 6.4819 6.4867 16.1691 Å, 90.02 101.52 119.96°
Fractional coordinates of all 14 atoms:
Ca 0.0692 0.3678 0.1045
Ca 0.2636 0.2984 0.8955
Ca 0.4025 0.0350 0.1045
Ca 0.5975 0.9650 0.8955
Ca 0.7364 0.7016 0.1045
Ca 0.9308 0.6322 0.8955
Ac 0.3335 0.1670 0.5000
Ac 0.6665 0.8330 0.5000
Pr 0.1300 0.8971 0.6948
Pr 0.2018 0.7671 0.3052
Pr 0.4626 0.5652 0.6949
Pr 0.5374 0.4348 0.3051
Pr 0.7982 0.2329 0.6948
Pr 0.8700 0.1029 0.3052

Entry 8:
For Rb2Tl3Pb2, a structure optimized by DFT (PBE) gives the simulated PXRD pattern in this record (Cu Kα (weighted mean of Kα1 and Kα2)).
No peak broadening, texture or thermal motion is included.

Main lines, sorted by position (15° ≤ 2θ ≤ 90°):
27.1 deg, I 32
27.9 deg, I 21
29.3 deg, I 39
32.9 deg, I 100
37.9 deg, I 19
50.7 deg, I 22

Structural model:
Cell: 7.2132 7.2132 8.3539 Å, 115.21 115.21 44.37°
Fractional coordinates of all 7 atoms:
Rb 0.1560 0.1560 0.2700
Rb 0.8440 0.8440 0.7300
Tl 0.3889 0.3889 0.0571
Tl 0.5000 0.5000 0.5000
Tl 0.6111 0.6111 0.9429
Pb 0.1294 0.1294 0.7279
Pb 0.8706 0.8706 0.2721

Entry 9:
For TbPrBiSe, a structure optimized by DFT (PBE) gives the simulated PXRD pattern in this record (Cu Kα (weighted mean of Kα1 and Kα2)).
No peak broadening, texture or thermal motion is included.

Main lines, sorted by position (15° ≤ 2θ ≤ 90°):
25.3 deg, I 66
31.0 deg, I 100
36.5 deg, I 60
42.4 deg, I 55
53.4 deg, I 22
65.4 deg, I 29

Structural model:
Cell: 8.0696 8.0696 8.0696 Å, 30.66 30.66 30.66°
Fractional coordinates of all 4 atoms:
Tb 0.0000 0.0000 0.0000
Pr 0.8368 0.8368 0.8368
Bi 0.4142 0.4142 0.4142
Se 0.5904 0.5904 0.5904

Entry 10:
For Ce3Cr10N11, a structure optimized by DFT (PBE) gives the simulated PXRD pattern in this record (Cu Kα (weighted mean of Kα1 and Kα2)).
No peak broadening, texture or thermal motion is included.

Main lines, sorted by position (15° ≤ 2θ ≤ 90°):
24.3 deg, I 21
30.7 deg, I 28
34.6 deg, I 62
36.8 deg, I 100
62.0 deg, I 36
88.4 deg, I 21

Structural model:
Cell: 8.9853 8.9853 8.9853 Å, 60.00 60.00 60.00°
Fractional coordinates of all 48 atoms:
Ce 0.1943 0.1943 0.8057
Ce 0.1943 0.8057 0.1943
Ce 0.1943 0.8057 0.8057
Ce 0.8057 0.1943 0.1943
Ce 0.8057 0.1943 0.8057
Ce 0.8057 0.8057 0.1943
Cr 0.1095 0.1095 0.3905
Cr 0.1095 0.3905 0.1095
Cr 0.1095 0.3905 0.3905
Cr 0.2048 0.5984 0.5984
Cr 0.3905 0.1095 0.1095
Cr 0.3905 0.1095 0.3905
Cr 0.3905 0.3905 0.1095
Cr 0.4016 0.4016 0.4016
Cr 0.4016 0.4016 0.7952
Cr 0.4016 0.7952 0.4016
Cr 0.5984 0.2048 0.5984
Cr 0.5984 0.5984 0.2048
Cr 0.5984 0.5984 0.5984
Cr 0.6095 0.6095 0.8905
Cr 0.6095 0.8905 0.6095
Cr 0.6095 0.8905 0.8905
Cr 0.7952 0.4016 0.4016
Cr 0.8905 0.6095 0.6095
Cr 0.8905 0.6095 0.8905
Cr 0.8905 0.8905 0.6095
N 0.0000 0.0000 0.0000
N 0.1380 0.1380 0.1380
N 0.1380 0.1380 0.5859
N 0.1380 0.5859 0.1380
N 0.1541 0.5000 0.5000
N 0.1541 0.5000 0.8459
N 0.1541 0.8459 0.5000
N 0.4141 0.8620 0.8620
N 0.5000 0.1541 0.5000
N 0.5000 0.1541 0.8459
N 0.5000 0.5000 0.1541
N 0.5000 0.5000 0.5000
N 0.5000 0.5000 0.8459
N 0.5000 0.8459 0.1541
N 0.5000 0.8459 0.5000
N 0.5859 0.1380 0.1380
N 0.8459 0.1541 0.5000
N 0.8459 0.5000 0.1541
N 0.8459 0.5000 0.5000
N 0.8620 0.4141 0.8620
N 0.8620 0.8620 0.4141
N 0.8620 0.8620 0.8620

Entry 11:
For Ac4InHg2Pd, a structure optimized by DFT (PBE) gives the simulated PXRD pattern in this record (Cu Kα (weighted mean of Kα1 and Kα2)).
No peak broadening, texture or thermal motion is included.

Main lines, sorted by position (15° ≤ 2θ ≤ 90°):
31.5 deg, I 100
31.8 deg, I 86
45.4 deg, I 33
56.0 deg, I 20
56.3 deg, I 35
74.9 deg, I 15

Structural model:
Cell: 9.7131 9.7131 9.7131 Å, 34.03 34.03 34.03°
Fractional coordinates of all 8 atoms:
Ac 0.1165 0.1165 0.1165
Ac 0.3690 0.3690 0.3690
Ac 0.6310 0.6310 0.6310
Ac 0.8835 0.8835 0.8835
In 0.5000 0.5000 0.5000
Hg 0.2423 0.2423 0.2423
Hg 0.7577 0.7577 0.7577
Pd 0.0000 0.0000 0.0000

Entry 12:
For PrHo6Tl, a structure optimized by DFT (PBE) gives the simulated PXRD pattern in this record (Cu Kα (weighted mean of Kα1 and Kα2)).
No peak broadening, texture or thermal motion is included.

Main lines, sorted by position (15° ≤ 2θ ≤ 90°):
31.6 deg, I 100
33.4 deg, I 20
33.7 deg, I 23
48.1 deg, I 14
58.5 deg, I 12
58.9 deg, I 17

Structural model:
Cell: 6.8672 6.8672 5.3241 Å, 90.00 90.00 102.84°
Fractional coordinates of all 8 atoms:
Pr 0.0000 0.0000 0.0000
Ho 0.0000 0.5000 0.0000
Ho 0.2162 0.7838 0.5000
Ho 0.2856 0.2856 0.5000
Ho 0.5000 0.0000 0.0000
Ho 0.7144 0.7144 0.5000
Ho 0.7838 0.2162 0.5000
Tl 0.5000 0.5000 0.0000